Entry 1:
Simulated powder diffractogram
Compound: Ti5S8
Radiation: CuKα
Structure: a crystal structure in Alexandria, relaxed with GGA-PBE
Kinematic intensities with the Lorentz-polarization factor, no thermal factor.

The 12 most intense peaks (10 to 80 degrees two-theta), low angle first:
h k l, Position (°2θ), I_rel
2 0 -1, 15.2, 58
1 1 -1, 16.8, 21
0 2 1, 30.1, 16
2 0 1, 33.8, 55
2 2 -2, 34.0, 100
4 0 0, 43.4, 70
4 2 -3, 43.7, 44
4 0 -4, 43.8, 23
0 2 3, 53.5, 64
6 2 -2, 56.5, 20
8 0 -4, 64.0, 12
2 4 1, 64.8, 12

```
data_Ti5S8
_cell_length_a 11.645
_cell_length_b 6.854
_cell_length_c 8.262
_cell_angle_alpha 90.00
_cell_angle_beta 134.18
_cell_angle_gamma 90.00
_symmetry_space_group_name_H-M 'C 1 2/m 1'
_symmetry_Int_Tables_number 12
_symmetry_space_group_name_Hall '-C 2y'
loop_
_atom_site_label
_atom_site_type_symbol
_atom_site_fract_x
_atom_site_fract_y
_atom_site_fract_z
Ti1 Ti 0.000 0.000 0.000
Ti2 Ti 0.000 0.264 0.500
Ti3 Ti 0.245 0.500 0.990
S1 S 0.037 0.000 0.331
S2 S 0.041 0.500 0.332
S3 S 0.208 0.250 0.170
```

***

Entry 2:
Simulated powder diffractogram
Compound: K3PuSi2O8
Radiation: CuKα
Structure: a crystal structure in Alexandria, relaxed with GGA-PBE
Kinematic intensities with the Lorentz-polarization factor, no thermal factor.

The 12 most intense peaks (10 to 80 degrees two-theta), low angle first:
h k l, Position (°2θ), I_rel
0 0 1, 10.9, 64
1 0 0, 18.0, 51
1 0 1, 21.1, 86
1 0 2, 28.5, 100
1 1 0, 31.4, 62
1 0 3, 38.0, 17
2 0 1, 38.1, 16
2 0 2, 42.9, 39
2 1 1, 50.1, 20
2 1 2, 54.1, 32
1 1 4, 55.6, 23
1 3 2, 72.9, 14

```
data_K3PuSi2O8
_cell_length_a 5.7038
_cell_length_b 5.7038
_cell_length_c 8.1044
_cell_angle_alpha 90.00
_cell_angle_beta 90.00
_cell_angle_gamma 120.00
_symmetry_space_group_name_H-M 'P -3 m 1'
_symmetry_Int_Tables_number 164
_symmetry_space_group_name_Hall '-P 3 2"'
loop_
_atom_site_label
_atom_site_type_symbol
_atom_site_fract_x
_atom_site_fract_y
_atom_site_fract_z
K1 K 0.0000 0.0000 0.0000
K2 K 0.3333 0.6667 0.7615
Pu1 Pu 0.0000 0.0000 0.5000
Si1 Si 0.3333 0.6667 0.2698
O1 O 0.1758 0.3516 0.3437
O2 O 0.3333 0.6667 0.0735
```

***

Entry 3:
Simulated powder diffractogram
Compound: LaTbAg2S4
Radiation: CuKα
Structure: a crystal structure in Alexandria, relaxed with GGA-PBE
Kinematic intensities with the Lorentz-polarization factor, no thermal factor.

The 12 most intense peaks (10 to 80 degrees two-theta), low angle first:
h k l, Position (°2θ), I_rel
0 1 1, 16.7, 15
0 2 0, 26.1, 23
2 0 0, 26.5, 23
1 1 2, 28.1, 100
1 0 3, 34.3, 15
2 2 0, 37.5, 50
1 1 4, 46.8, 20
1 3 2, 47.3, 23
3 1 2, 47.7, 23
4 2 0, 61.3, 13
1 5 2, 74.3, 11
2 2 6, 78.5, 11

```
data_LaTbAg2S4
_cell_length_a 6.737
_cell_length_b 6.833
_cell_length_c 8.487
_cell_angle_alpha 90.00
_cell_angle_beta 90.00
_cell_angle_gamma 90.00
_symmetry_space_group_name_H-M 'I 2 2 2'
_symmetry_Int_Tables_number 23
_symmetry_space_group_name_Hall 'I 2 2'
loop_
_atom_site_label
_atom_site_type_symbol
_atom_site_fract_x
_atom_site_fract_y
_atom_site_fract_z
La1 La 0.000 0.000 0.000
Tb1 Tb 0.000 0.000 0.500
Ag1 Ag 0.000 0.500 0.172
S1 S 0.229 0.247 0.342
```

***

Entry 4:
Simulated powder diffractogram
Compound: Ba6MgSc2C2O6F14
Radiation: CuKα
Structure: a crystal structure in Alexandria, relaxed with GGA-PBE
Kinematic intensities with the Lorentz-polarization factor, no thermal factor.

The 12 most intense peaks (10 to 80 degrees two-theta), low angle first:
h k l, Position (°2θ), I_rel
2 0 -1, 19.6, 8
1 3 0, 23.4, 10
2 2 -1, 24.7, 100
3 1 1, 25.8, 23
0 0 2, 29.1, 13
0 4 0, 30.0, 11
1 3 -2, 37.7, 13
4 0 -2, 39.9, 19
4 4 0, 40.6, 23
0 4 2, 42.3, 18
3 5 -1, 45.7, 20
2 2 -3, 49.0, 10

```
data_Ba6MgSc2C2O6F14
_cell_length_a 13.379
_cell_length_b 11.907
_cell_length_c 6.133
_cell_angle_alpha 90.00
_cell_angle_beta 90.11
_cell_angle_gamma 90.00
_symmetry_space_group_name_H-M 'C 1 2 1'
_symmetry_Int_Tables_number 5
_symmetry_space_group_name_Hall 'C 2y'
loop_
_atom_site_label
_atom_site_type_symbol
_atom_site_fract_x
_atom_site_fract_y
_atom_site_fract_z
Ba1 Ba 0.097 0.000 0.262
Ba2 Ba 0.111 0.719 0.762
Ba3 Ba 0.138 0.271 0.811
Mg1 Mg 0.000 0.420 0.500
Sc1 Sc 0.214 0.510 0.233
C1 C 0.017 0.502 0.124
O1 O 0.069 0.496 0.743
O2 O 0.074 0.599 0.165
O3 O 0.080 0.410 0.185
F1 F 0.000 0.150 0.000
F2 F 0.000 0.256 0.500
F3 F 0.000 0.841 0.500
F4 F 0.000 0.860 0.000
F5 F 0.116 0.032 0.696
F6 F 0.222 0.886 0.977
F7 F 0.231 0.645 0.442
F8 F 0.236 0.114 0.029
F9 F 0.239 0.401 0.491
```

***

Entry 5:
Simulated powder diffractogram
Compound: SbO2
Radiation: CuKα
Structure: a crystal structure in Alexandria, relaxed with GGA-PBE
Kinematic intensities with the Lorentz-polarization factor, no thermal factor.

The 12 most intense peaks (10 to 80 degrees two-theta), low angle first:
h k l, Position (°2θ), I_rel
1 1 0, 23.0, 38
1 1 1, 28.2, 100
0 0 2, 32.5, 18
0 2 1, 34.7, 23
2 0 0, 35.0, 11
1 1 2, 40.2, 13
2 0 2, 48.5, 20
1 3 0, 50.0, 43
1 1 3, 55.4, 17
3 1 1, 58.6, 14
0 2 3, 59.4, 10
1 3 2, 60.9, 15

```
data_SbO2
_cell_length_a 5.134
_cell_length_b 5.857
_cell_length_c 5.512
_cell_angle_alpha 90.00
_cell_angle_beta 90.00
_cell_angle_gamma 90.00
_symmetry_space_group_name_H-M 'P b c n'
_symmetry_Int_Tables_number 60
_symmetry_space_group_name_Hall '-P 2n 2ab'
loop_
_atom_site_label
_atom_site_type_symbol
_atom_site_fract_x
_atom_site_fract_y
_atom_site_fract_z
Sb1 Sb 0.000 0.164 0.250
O1 O 0.212 0.109 0.579
```

***

Entry 6:
Simulated powder diffractogram
Compound: Ga4Ni15Sn
Radiation: CuKα
Structure: a crystal structure in Alexandria, relaxed with GGA-PBE
Kinematic intensities with the Lorentz-polarization factor, no thermal factor.

The 11 most intense peaks (10 to 80 degrees two-theta), low angle first:
h k l, Position (°2θ), I_rel
1 0 0, 24.6, 1
1 1 0, 35.1, 1
1 1 3, 38.2, 1
1 1 4, 40.5, 1
1 1 5, 43.4, 100
0 0 9, 45.3, 1
2 0 0, 50.4, 32
0 0 10, 50.7, 15
2 0 9, 70.1, 1
2 2 0, 74.1, 9
2 0 10, 74.3, 17

```
data_Ga4Ni15Sn
_cell_length_a 3.620
_cell_length_b 3.620
_cell_length_c 18.017
_cell_angle_alpha 90.00
_cell_angle_beta 90.00
_cell_angle_gamma 90.00
_symmetry_space_group_name_H-M 'P 4/m m m'
_symmetry_Int_Tables_number 123
_symmetry_space_group_name_Hall '-P 4 2'
loop_
_atom_site_label
_atom_site_type_symbol
_atom_site_fract_x
_atom_site_fract_y
_atom_site_fract_z
Ga1 Ga 0.000 0.000 0.098
Ga2 Ga 0.000 0.000 0.294
Ni1 Ni 0.000 0.500 0.000
Ni2 Ni 0.000 0.500 0.196
Ni3 Ni 0.000 0.500 0.392
Ni4 Ni 0.500 0.500 0.098
Ni5 Ni 0.500 0.500 0.295
Ni6 Ni 0.500 0.500 0.500
Sn1 Sn 0.000 0.000 0.500
```

***

Entry 7:
Simulated powder diffractogram
Compound: BSbSe2
Radiation: CuKα
Structure: a crystal structure in Alexandria, relaxed with GGA-PBE
Kinematic intensities with the Lorentz-polarization factor, no thermal factor.

The 12 most intense peaks (10 to 80 degrees two-theta), low angle first:
h k l, Position (°2θ), I_rel
0 1 0, 14.6, 50
0 1 1, 24.3, 34
1 0 1, 27.9, 95
1 0 -2, 28.4, 100
0 2 0, 29.4, 19
1 -2 0, 31.9, 35
2 0 -1, 32.1, 66
1 2 -1, 32.8, 36
1 1 1, 35.1, 38
0 2 -2, 35.6, 42
1 2 -2, 35.8, 19
2 2 -3, 49.6, 17

```
data_BSbSe2
_cell_length_a 5.572
_cell_length_b 6.387
_cell_length_c 6.628
_cell_angle_alpha 105.85
_cell_angle_beta 113.35
_cell_angle_gamma 91.74
_symmetry_space_group_name_H-M 'P 1'
_symmetry_Int_Tables_number 1
_symmetry_space_group_name_Hall 'P 1'
loop_
_atom_site_label
_atom_site_type_symbol
_atom_site_fract_x
_atom_site_fract_y
_atom_site_fract_z
B1 B 0.000 0.000 0.000
B2 B 0.006 0.487 0.917
Sb1 Sb 0.002 0.727 0.392
Sb2 Sb 0.639 0.824 0.641
Se1 Se 0.222 0.262 0.999
Se2 Se 0.242 0.762 0.992
Se3 Se 0.627 0.444 0.722
Se4 Se 0.906 0.076 0.276
```

***

Entry 8:
Simulated powder diffractogram
Compound: Sm3Tl
Radiation: CuKα
Structure: a crystal structure in Alexandria, relaxed with GGA-PBE
Kinematic intensities with the Lorentz-polarization factor, no thermal factor.

The 12 most intense peaks (10 to 80 degrees two-theta), low angle first:
h k l, Position (°2θ), I_rel
0 0 2, 17.3, 1
1 0 1, 20.3, 2
1 1 2, 31.4, 100
0 0 4, 35.1, 19
2 0 0, 37.1, 32
2 0 4, 52.0, 25
2 2 0, 53.4, 11
1 1 6, 60.7, 15
3 1 2, 63.3, 27
2 2 4, 65.5, 12
0 0 8, 74.2, 2
4 0 0, 79.0, 4

```
data_Sm3Tl
_cell_length_a 4.851
_cell_length_b 4.851
_cell_length_c 10.227
_cell_angle_alpha 90.00
_cell_angle_beta 90.00
_cell_angle_gamma 90.00
_symmetry_space_group_name_H-M 'I 4/m m m'
_symmetry_Int_Tables_number 139
_symmetry_space_group_name_Hall '-I 4 2'
loop_
_atom_site_label
_atom_site_type_symbol
_atom_site_fract_x
_atom_site_fract_y
_atom_site_fract_z
Sm1 Sm 0.000 0.000 0.000
Sm2 Sm 0.000 0.500 0.250
Tl1 Tl 0.000 0.000 0.500
```